(1)
The following is a theoretical powder XRD pattern of Zr4Ta2In3N3. It was derived from a cell relaxed with GGA-PBE, using CuKα.
Intensities are scaled so that the largest is 100.

Crystal structure
Cell lengths 5.6076, 5.6076, 15.1211 Å; angles 100.79, 100.79, 60.04 degrees
Sites, in units of the cell vectors:
Zr: 0.0317 0.1934 0.0871
Zr: 0.1347 0.3045 0.4130
Zr: 0.1934 0.0317 0.5871
Zr: 0.3045 0.1347 0.9130
Zr: 0.6955 0.8653 0.0870
Zr: 0.8066 0.9683 0.4129
Zr: 0.8653 0.6955 0.5870
Zr: 0.9683 0.8066 0.9129
Ta: 0.3567 0.5264 0.0790
Ta: 0.4736 0.6433 0.4210
Ta: 0.5264 0.3567 0.5790
Ta: 0.6433 0.4736 0.9210
In: 0.0998 0.9002 0.2500
In: 0.2668 0.4166 0.7507
In: 0.4166 0.2668 0.2507
In: 0.5834 0.7332 0.7493
In: 0.7332 0.5834 0.2493
In: 0.9002 0.0998 0.7500
N: 0.0000 0.5000 0.0000
N: 0.1751 0.6625 0.5000
N: 0.3375 0.8249 0.0000
N: 0.5000 0.0000 0.5000
N: 0.6625 0.1751 0.0000
N: 0.8249 0.3375 0.5000

Main lines, sorted by position (2θ from 5° to 70°):
2θ = 31.91°, d = 2.804 Å, I = 21; 2θ = 36.52°, d = 2.461 Å, I = 21; 2θ = 36.89°, d = 2.437 Å, I = 100; 2θ = 49.27°, d = 1.850 Å, I = 16; 2θ = 56.87°, d = 1.619 Å, I = 20; 2θ = 69.48°, d = 1.353 Å, I = 16

(2)
The following is a theoretical powder XRD pattern of Na2In4NiPt. It was derived from a cell relaxed with GGA-PBE, using CuKα.
Intensities are scaled so that the largest is 100.

Crystal structure
Cell lengths 7.8373, 5.6544, 5.6544 Å; angles 44.33, 90.00, 90.00 degrees
Sites, in units of the cell vectors:
Na: 0.0000 0.0000 0.0000
Na: 0.5000 0.1314 0.1314
In: 0.1927 0.7092 0.7092
In: 0.2921 0.4199 0.4199
In: 0.7079 0.4199 0.4199
In: 0.8073 0.7092 0.7092
Ni: 0.0000 0.2818 0.2818
Pt: 0.5000 0.8472 0.8472

Main lines, sorted by position (2θ from 5° to 70°):
2θ = 16.93°, d = 5.236 Å, I = 60; 2θ = 20.40°, d = 4.354 Å, I = 41; 2θ = 32.17°, d = 2.782 Å, I = 64; 2θ = 35.13°, d = 2.554 Å, I = 42; 2θ = 40.56°, d = 2.224 Å, I = 62; 2θ = 41.45°, d = 2.179 Å, I = 100

(3)
The following is a theoretical powder XRD pattern of NaZnInO2. It was derived from a cell relaxed with GGA-PBE, using CuKα.
Intensities are scaled so that the largest is 100.

Crystal structure
Cell lengths 6.0001, 9.6786, 5.6023 Å; angles 90.00, 112.43, 90.00 degrees
Sites, in units of the cell vectors:
Na: 0.2502 0.0028 0.0012
Na: 0.2502 0.4972 0.5012
Na: 0.7498 0.5028 0.4988
Na: 0.7498 0.9972 0.9988
Zn: 0.2496 0.2025 0.5005
Zn: 0.2496 0.2975 0.0005
Zn: 0.7504 0.7025 0.9995
Zn: 0.7504 0.7975 0.4995
In: 0.2499 0.6572 0.0011
In: 0.2499 0.8428 0.5011
In: 0.7501 0.1572 0.4989
In: 0.7501 0.3428 0.9989
O: 0.0328 0.1745 0.1330
O: 0.0328 0.3255 0.6330
O: 0.4672 0.1744 0.8695
O: 0.4672 0.3256 0.3695
O: 0.5328 0.6744 0.6305
O: 0.5328 0.8256 0.1305
O: 0.9672 0.6745 0.3670
O: 0.9672 0.8255 0.8670

Main lines, sorted by position (2θ from 5° to 70°):
2θ = 18.33°, d = 4.839 Å, I = 73; 2θ = 32.28°, d = 2.773 Å, I = 57; 2θ = 32.70°, d = 2.738 Å, I = 100; 2θ = 34.65°, d = 2.589 Å, I = 63; 2θ = 37.39°, d = 2.405 Å, I = 57; 2θ = 41.40°, d = 2.181 Å, I = 87

(4)
The following is a theoretical powder XRD pattern of Na4InSiPd2. It was derived from a cell relaxed with GGA-PBE, using CuKα.
Intensities are scaled so that the largest is 100.

Crystal structure
Cell lengths 4.6795, 4.6795, 6.7892 Å; angles 90.00, 90.00, 90.00 degrees
Sites, in units of the cell vectors:
Na: 0.0000 0.0000 0.0000
Na: 0.0000 0.5000 0.2372
Na: 0.5000 0.0000 0.7628
Na: 0.5000 0.5000 0.5000
In: 0.0000 0.0000 0.5000
Si: 0.5000 0.5000 0.0000
Pd: 0.0000 0.5000 0.7771
Pd: 0.5000 0.0000 0.2229

Main lines, sorted by position (2θ from 5° to 70°):
2θ = 23.08°, d = 3.853 Å, I = 68; 2θ = 37.97°, d = 2.369 Å, I = 100; 2θ = 38.48°, d = 2.340 Å, I = 51; 2θ = 45.35°, d = 2.000 Å, I = 22; 2θ = 55.55°, d = 1.654 Å, I = 17; 2θ = 69.26°, d = 1.357 Å, I = 32